(1)
ZnSb2O4: simulated powder diffractogram (Cu Kα X-rays), based on the PBE geometry in the Materials Project.
No peak broadening, texture or thermal motion is included.

Top 10 peaks for 2θ = 10–90°, by angle:
hkl	d (Å)	two_theta	I (rel.)
0 0 3	5.185	17.10	26
1 0 4	3.244	27.49	32
0 2 1	2.892	30.92	90
1 1 3	2.842	31.48	73
0 1 5	2.751	32.54	100
0 2 4	2.347	38.36	38
1 2 5	1.810	50.43	34
2 2 0	1.699	53.96	50
2 0 8	1.622	56.75	34
0 4 2	1.446	64.45	22

Structural model:
```
data_ZnSb2O4
_chemical_formula_sum 'Zn6 Sb12 O24'
_cell_length_a 6.7965
_cell_length_b 6.7965
_cell_length_c 15.5536
_cell_angle_alpha 90.00
_cell_angle_beta 90.00
_cell_angle_gamma 120.00
_space_group_name_H-M_alt 'R 3 m'
_space_group_IT_number 160
_space_group_name_Hall 'R 3 -2"'
loop_
_atom_site_label
_atom_site_fract_x
_atom_site_fract_y
_atom_site_fract_z
Zn1 0.0000 0.0000 0.0000
Zn2 0.0000 0.0000 0.3811
Sb1 0.0000 0.0000 0.6016
Sb2 0.0024 0.5012 0.4964
O1 0.0000 0.0000 0.2409
O2 0.0000 0.0000 0.7294
O3 0.0106 0.5053 0.7557
O4 0.1858 0.3716 0.5941
```


(2)
HfMg6CuO8: simulated powder diffractogram (Cu Kα X-rays), based on the PBE geometry in the Materials Project.
No peak broadening, texture or thermal motion is included.

Top 10 peaks for 2θ = 10–90°, by angle:
hkl	d (Å)	two_theta	I (rel.)
0 0 2	4.481	19.81	48
1 0 1	3.868	23.00	43
1 1 0	3.032	29.46	36
1 1 1	2.872	31.14	63
1 1 2	2.511	35.76	82
0 0 4	2.241	40.25	56
2 0 0	2.144	42.16	100
2 0 4	1.549	59.70	63
2 2 0	1.516	61.14	30
2 2 4	1.255	75.77	29

Structural model:
```
data_HfMg6CuO8
_chemical_formula_sum 'Hf1 Mg6 Cu1 O8'
_cell_length_a 4.287
_cell_length_b 4.287
_cell_length_c 8.963
_cell_angle_alpha 90.00
_cell_angle_beta 90.00
_cell_angle_gamma 90.00
_space_group_name_H-M_alt 'P 4/m m m'
_space_group_IT_number 123
_space_group_name_Hall '-P 4 2'
loop_
_atom_site_label
_atom_site_fract_x
_atom_site_fract_y
_atom_site_fract_z
Hf1 0.000 0.000 0.000
Mg1 0.000 0.000 0.500
Mg2 0.000 0.500 0.260
Mg3 0.500 0.500 0.500
Cu1 0.500 0.500 0.000
O1 0.000 0.000 0.250
O2 0.000 0.500 0.000
O3 0.000 0.500 0.500
O4 0.500 0.500 0.271
```


(3)
UNiSn: simulated powder diffractogram (Cu Kα X-rays), based on the PBE geometry in the Materials Project.
No peak broadening, texture or thermal motion is included.

Top 10 peaks for 2θ = 10–90°, by angle:
hkl	d (Å)	two_theta	I (rel.)
2 0 0	4.724	18.78	25
1 1 0	3.840	23.16	50
1 1 1	2.768	32.34	27
3 1 -1	2.763	32.40	22
3 1 0	2.520	35.62	100
0 0 2	2.488	36.11	36
4 0 -2	2.481	36.21	34
3 1 -2	2.324	38.74	93
0 2 0	2.101	43.04	39
0 2 2	1.604	57.44	38

Structural model:
```
data_UNiSn
_chemical_formula_sum 'U4 Ni4 Sn4'
_cell_length_a 11.093
_cell_length_b 4.203
_cell_length_c 5.841
_cell_angle_alpha 90.00
_cell_angle_beta 121.59
_cell_angle_gamma 90.00
_space_group_name_H-M_alt 'C 1 2/m 1'
_space_group_IT_number 12
_space_group_name_Hall '-C 2y'
loop_
_atom_site_label
_atom_site_fract_x
_atom_site_fract_y
_atom_site_fract_z
U1 0.003 0.000 0.292
Ni1 0.130 0.500 0.136
Sn1 0.209 0.500 0.712
```


(4)
NaCaAlPHO5F2: simulated powder diffractogram (Cu Kα X-rays), based on the PBE geometry in the Materials Project.
No peak broadening, texture or thermal motion is included.

Top 10 peaks for 2θ = 10–90°, by angle:
hkl	d (Å)	two_theta	I (rel.)
0 0 2	3.297	27.04	33
1 1 1	3.235	27.57	17
0 1 2	3.006	29.72	40
1 2 -1	2.944	30.37	100
2 0 0	2.651	33.81	30
1 2 1	2.566	34.97	19
2 2 -1	2.215	40.74	35
1 2 -3	1.950	46.57	26
0 4 0	1.825	49.98	31
2 2 -4	1.508	61.47	20

Structural model:
```
data_NaCaAlPHO5F2
_chemical_formula_sum 'Na2 Ca2 Al2 P2 H2 O10 F4'
_cell_length_a 5.594
_cell_length_b 7.300
_cell_length_c 6.957
_cell_angle_alpha 90.00
_cell_angle_beta 108.58
_cell_angle_gamma 90.00
_space_group_name_H-M_alt 'P 1 21/m 1'
_space_group_IT_number 11
_space_group_name_Hall '-P 2yb'
loop_
_atom_site_label
_atom_site_fract_x
_atom_site_fract_y
_atom_site_fract_z
Na1 0.029 0.250 0.042
Ca1 0.000 0.000 0.500
Al1 0.500 0.000 0.000
P1 0.464 0.750 0.366
H1 0.479 0.750 0.770
O1 0.261 0.250 0.487
O2 0.271 0.750 0.485
O3 0.417 0.577 0.229
O4 0.472 0.250 0.080
F1 0.156 0.001 0.849
```


(5)
NaHo9Si6O26: simulated powder diffractogram (Cu Kα X-rays), based on the PBE geometry in the Materials Project.
No peak broadening, texture or thermal motion is included.

Top 10 peaks for 2θ = 10–90°, by angle:
hkl	d (Å)	two_theta	I (rel.)
2 0 0	4.078	21.79	29
1 1 1	3.866	23.00	33
1 0 2	3.127	28.54	37
1 2 0	3.083	28.97	37
3 -1 1	2.806	31.90	100
2 -1 2	2.749	32.57	43
3 0 0	2.719	32.95	23
4 -2 2	1.933	47.01	26
1 2 3	1.821	50.09	32
4 0 2	1.747	52.38	28

Structural model:
```
data_NaHo9Si6O26
_chemical_formula_sum 'Na1 Ho9 Si6 O26'
_cell_length_a 9.4175
_cell_length_b 9.4175
_cell_length_c 6.7718
_cell_angle_alpha 90.00
_cell_angle_beta 90.00
_cell_angle_gamma 120.00
_space_group_name_H-M_alt 'P 3'
_space_group_IT_number 143
_space_group_name_Hall 'P 3'
loop_
_atom_site_label
_atom_site_fract_x
_atom_site_fract_y
_atom_site_fract_z
Na1 0.0000 0.0000 0.0000
Ho1 0.0000 0.0000 0.4935
Ho2 0.0993 0.4303 0.2457
Ho3 0.1010 0.6694 0.7474
Ho4 0.6667 0.3333 0.4988
Ho5 0.6667 0.3333 0.9949
Si1 0.3047 0.0397 0.7469
Si2 0.3594 0.2953 0.2490
O1 0.0188 0.8364 0.2581
O2 0.0852 0.3307 0.5551
O3 0.0877 0.3396 0.9341
O4 0.2103 0.1446 0.7329
O5 0.3333 0.6667 0.2458
O6 0.3333 0.6667 0.7429
O7 0.4255 0.4175 0.0547
O8 0.4313 0.4224 0.4389
O9 0.4648 0.1969 0.2464
O10 0.5051 0.1614 0.7476
```


(6)
DyAsO4: simulated powder diffractogram (Cu Kα X-rays), based on the PBE geometry in the Materials Project.
No peak broadening, texture or thermal motion is included.

Top 10 peaks for 2θ = 10–90°, by angle:
hkl	d (Å)	two_theta	I (rel.)
1 0 1	4.754	18.67	19
2 0 0	3.577	24.89	100
1 1 2	2.692	33.28	73
2 2 0	2.529	35.49	24
3 1 2	1.843	49.44	61
4 0 0	1.788	51.07	15
4 2 0	1.600	57.62	15
3 3 2	1.490	62.33	18
2 0 4	1.453	64.08	13
5 1 2	1.284	73.82	14

Structural model:
```
data_DyAsO4
_chemical_formula_sum 'Dy4 As4 O16'
_cell_length_a 7.154
_cell_length_b 7.154
_cell_length_c 6.361
_cell_angle_alpha 90.00
_cell_angle_beta 90.00
_cell_angle_gamma 90.00
_space_group_name_H-M_alt 'I 41/a m d'
_space_group_IT_number 141
loop_
_space_group_symop_operation_xyz
'x,y,z'
'-x,-y,-z'
'-y+1/4,x+3/4,z+1/4'
'y+1/4,-x+3/4,-z+1/4'
'-x+1/2,-y,z+1/2'
'x+1/2,y,-z+1/2'
'y+1/4,-x+1/4,z+3/4'
'-y+1/4,x+1/4,-z+3/4'
'x,-y,-z'
'-x,y,z'
'-y+1/4,-x+1/4,-z+3/4'
'y+1/4,x+1/4,z+3/4'
'-x+1/2,y,-z+1/2'
'x+1/2,-y,z+1/2'
'y+1/4,x+3/4,-z+1/4'
'-y+1/4,-x+3/4,z+1/4'
'x+1/2,y+1/2,z+1/2'
'-x+1/2,-y+1/2,-z+1/2'
'-y+3/4,x+1/4,z+3/4'
'y+3/4,-x+1/4,-z+3/4'
'-x,-y+1/2,z'
'x,y+1/2,-z'
'y+3/4,-x+3/4,z+1/4'
'-y+3/4,x+3/4,-z+1/4'
'x+1/2,-y+1/2,-z+1/2'
'-x+1/2,y+1/2,z+1/2'
'-y+3/4,-x+3/4,-z+1/4'
'y+3/4,x+3/4,z+1/4'
'-x,y+1/2,-z'
'x,-y+1/2,z'
'y+3/4,x+1/4,-z+3/4'
'-y+3/4,-x+1/4,z+3/4'
loop_
_atom_site_label
_atom_site_fract_x
_atom_site_fract_y
_atom_site_fract_z
Dy1 0.000 0.250 0.375
As1 0.000 0.250 0.875
O1 0.000 0.069 0.698
```